# 1
For Ba8ZnPd2, a PBE-relaxed structure gives the simulated PXRD pattern in this record (λ = 1.5418 Å (Cu Kα)).
No peak broadening, texture or thermal motion is included.

```
Ba8ZnPd2
1.0
10.1853 0.0000 0.0000
-5.0927 8.8208 0.0000
0.0000 0.0000 6.7798
Ba Zn Pd
8 1 2
direct
0.1616 0.3248 0.2463
0.1632 0.8384 0.2463
0.3248 0.1632 0.7537
0.3333 0.6667 0.7478
0.6667 0.3333 0.2522
0.6752 0.8368 0.2463
0.8368 0.1616 0.7537
0.8384 0.6752 0.7537
0.0000 0.0000 0.5000
0.3333 0.6667 0.2515
0.6667 0.3333 0.7485
```

Peak list (10 most intense, 10° ≤ 2θ ≤ 80°, in order of rising 2θ)
Position (°2θ), intensity
20.13, 46.3
24.07, 100.0
26.29, 36.6
33.34, 41.0
35.25, 63.0
43.14, 20.7
44.50, 51.6
45.08, 18.3
56.88, 18.0
66.24, 20.5



# 2
For Ba3Zn2Pd, a PBE-relaxed structure gives the simulated PXRD pattern in this record (λ = 1.5418 Å (Cu Kα)).
No peak broadening, texture or thermal motion is included.

```
Ba3Zn2Pd
1.0
13.5694 0.0000 0.0000
0.0000 4.6592 0.0000
0.0000 0.0000 13.6323
Ba Zn Pd
12 8 4
direct
0.0615 0.2500 0.1273
0.1119 0.7500 0.5563
0.2136 0.2500 0.7999
0.2864 0.7500 0.2999
0.3881 0.2500 0.0563
0.4385 0.7500 0.6273
0.5615 0.2500 0.3727
0.6119 0.7500 0.9437
0.7136 0.2500 0.7001
0.7864 0.7500 0.2001
0.8881 0.2500 0.4437
0.9385 0.7500 0.8727
0.0382 0.7500 0.3165
0.2136 0.7500 0.9876
0.2864 0.2500 0.4876
0.4618 0.2500 0.8165
0.5382 0.7500 0.1835
0.7136 0.7500 0.5124
0.7864 0.2500 0.0124
0.9618 0.2500 0.6835
0.1248 0.2500 0.3691
0.3752 0.7500 0.8691
0.6248 0.2500 0.1309
0.8752 0.7500 0.6309
```

Peak list (10 most intense, 10° ≤ 2θ ≤ 80°, in order of rising 2θ)
Position (°2θ), intensity
26.64, 39.0
27.09, 38.5
27.42, 100.0
28.25, 58.6
30.51, 65.6
33.30, 56.0
35.23, 49.6
35.48, 33.1
38.63, 73.6
43.42, 37.9



# 3
For Ba2Zn7Pd, a PBE-relaxed structure gives the simulated PXRD pattern in this record (λ = 1.5418 Å (Cu Kα)).
No peak broadening, texture or thermal motion is included.

```
Ba2Zn7Pd
1.0
4.5126 0.0000 0.0000
0.0000 4.5126 0.0000
0.0000 0.0000 11.0138
Ba Zn Pd
2 7 1
direct
0.0000 0.5000 0.2466
0.5000 0.0000 0.7534
0.0000 0.0000 0.0000
0.0000 0.0000 0.5000
0.0000 0.5000 0.6247
0.0000 0.5000 0.8782
0.5000 0.0000 0.1218
0.5000 0.0000 0.3753
0.5000 0.5000 0.5000
0.5000 0.5000 0.0000
```

Peak list (10 most intense, 10° ≤ 2θ ≤ 80°, in order of rising 2θ)
Position (°2θ), intensity
31.41, 68.0
32.43, 100.0
39.96, 59.6
43.41, 15.4
45.84, 21.5
51.69, 32.5
57.79, 19.5
57.96, 18.6
62.41, 16.8
67.85, 24.2



# 4
For BaZn9Pd2, a PBE-relaxed structure gives the simulated PXRD pattern in this record (λ = 1.5418 Å (Cu Kα)).
No peak broadening, texture or thermal motion is included.

```
BaZn9Pd2
1.0
-5.4314 5.4314 3.5497
5.4314 -5.4314 3.5497
5.4314 5.4314 -3.5497
Ba Zn Pd
2 18 4
direct
0.3750 0.6250 0.7500
0.6250 0.3750 0.2500
0.1250 0.8750 0.2500
0.1454 0.5636 0.3341
0.1454 0.8114 0.5818
0.1886 0.2704 0.3341
0.1886 0.8546 0.9182
0.2704 0.1886 0.8341
0.2704 0.4364 0.0818
0.4364 0.2704 0.5818
0.4364 0.8546 0.1659
0.5636 0.1454 0.8341
0.5636 0.7296 0.4182
0.7296 0.5636 0.9182
0.7296 0.8114 0.1659
0.8114 0.1454 0.0818
0.8114 0.7296 0.6659
0.8546 0.1886 0.4182
0.8546 0.4364 0.6659
0.8750 0.1250 0.7500
0.0000 0.0000 0.0000
0.0000 0.0000 0.5000
0.0000 0.5000 0.0000
0.5000 0.0000 0.5000
```

Peak list (10 most intense, 10° ≤ 2θ ≤ 80°, in order of rising 2θ)
Position (°2θ), intensity
32.28, 55.8
36.40, 100.0
37.01, 82.1
38.95, 46.9
41.88, 25.7
42.49, 28.2
43.57, 83.4
45.23, 68.4
57.16, 25.3
66.30, 29.3



# 5
For BaPm2Pt2, a PBE-relaxed structure gives the simulated PXRD pattern in this record (λ = 1.5418 Å (Cu Kα)).
No peak broadening, texture or thermal motion is included.

```
BaPm2Pt2
1.0
7.5232 0.0000 0.0000
-3.5950 6.6127 0.0000
-3.3598 -2.4707 6.7329
Ba Pm Pt
2 4 4
direct
0.1765 0.4271 0.2512
0.8235 0.5729 0.7488
0.1985 0.2462 0.7550
0.4935 0.9450 0.7463
0.5065 0.0550 0.2537
0.8015 0.7538 0.2450
0.2902 0.1154 0.4637
0.3479 0.6730 0.9630
0.6521 0.3270 0.0370
0.7098 0.8846 0.5363
```

Peak list (10 most intense, 10° ≤ 2θ ≤ 80°, in order of rising 2θ)
Position (°2θ), intensity
15.73, 80.7
22.59, 59.1
26.39, 76.2
26.70, 71.7
28.00, 75.0
34.56, 100.0
35.44, 71.9
37.08, 66.8
40.99, 98.3
42.04, 48.9



# 6
For Ba2PmPuS5, a PBE-relaxed structure gives the simulated PXRD pattern in this record (λ = 1.5418 Å (Cu Kα)).
No peak broadening, texture or thermal motion is included.

```
Ba2PmPuS5
1.0
5.0273 0.0000 0.0000
0.0000 5.0273 0.0000
0.0000 0.0000 10.9130
Ba Pm Pu S
2 1 1 5
direct
0.0000 0.0000 0.2096
0.0000 0.0000 0.7904
0.5000 0.5000 0.5000
0.5000 0.5000 0.0000
0.0000 0.0000 0.5000
0.0000 0.5000 0.0000
0.5000 0.0000 0.0000
0.5000 0.5000 0.2563
0.5000 0.5000 0.7437
```

Peak list (10 most intense, 10° ≤ 2θ ≤ 80°, in order of rising 2θ)
Position (°2θ), intensity
24.07, 100.0
25.05, 82.1
30.33, 21.1
32.83, 21.0
35.72, 46.5
41.73, 28.1
43.54, 43.8
49.29, 26.1
51.41, 16.1
62.35, 17.2



# 7
For BaPmRu, a PBE-relaxed structure gives the simulated PXRD pattern in this record (λ = 1.5418 Å (Cu Kα)).
No peak broadening, texture or thermal motion is included.

```
BaPmRu
1.0
3.6274 -3.9808 0.0000
3.6274 3.9808 0.0000
-0.7518 0.0000 6.6783
Ba Pm Ru
2 2 2
direct
0.2375 0.2375 0.4000
0.7625 0.7625 0.6000
0.2817 0.7183 0.0000
0.7183 0.2817 0.0000
0.1916 0.1916 0.8688
0.8084 0.8084 0.1312
```

Peak list (10 most intense, 10° ≤ 2θ ≤ 80°, in order of rising 2θ)
Position (°2θ), intensity
13.26, 49.2
26.06, 48.2
26.72, 44.7
29.45, 34.3
30.37, 69.6
32.78, 33.6
33.54, 100.0
41.50, 31.5
45.58, 20.5
46.31, 31.6



# 8
For BaPm2S4, a PBE-relaxed structure gives the simulated PXRD pattern in this record (λ = 1.5418 Å (Cu Kα)).
No peak broadening, texture or thermal motion is included.

```
BaPm2S4
1.0
12.4252 0.0000 0.0000
0.0000 4.1704 0.0000
0.0000 0.0000 14.8885
Ba Pm S
4 8 16
direct
0.2450 0.2500 0.1597
0.2550 0.7500 0.6597
0.7450 0.2500 0.3403
0.7550 0.7500 0.8403
0.0742 0.2500 0.3922
0.0769 0.2500 0.8963
0.4231 0.7500 0.3963
0.4258 0.7500 0.8922
0.5742 0.2500 0.1078
0.5769 0.2500 0.6037
0.9231 0.7500 0.1037
0.9258 0.7500 0.6078
0.0185 0.7500 0.7827
0.0786 0.2500 0.5794
0.1293 0.7500 0.0221
0.2097 0.7500 0.3279
0.2903 0.2500 0.8279
0.3707 0.2500 0.5221
0.4214 0.7500 0.0794
0.4815 0.2500 0.2827
0.5185 0.7500 0.7173
0.5786 0.2500 0.9206
0.6293 0.7500 0.4779
0.7097 0.7500 0.1721
0.7903 0.2500 0.6721
0.8707 0.2500 0.9779
0.9214 0.7500 0.4206
0.9815 0.2500 0.2173
```

Peak list (10 most intense, 10° ≤ 2θ ≤ 80°, in order of rising 2θ)
Position (°2θ), intensity
23.91, 44.7
24.60, 100.0
25.51, 65.9
25.73, 34.4
28.87, 36.0
35.43, 55.3
36.05, 28.9
43.40, 27.5
43.73, 44.8
50.51, 29.2



# 9
For Ba2PmS4, a PBE-relaxed structure gives the simulated PXRD pattern in this record (λ = 1.5418 Å (Cu Kα)).
No peak broadening, texture or thermal motion is included.

```
Ba2PmS4
1.0
3.9215 -5.4220 0.0000
3.9215 5.4220 0.0000
0.0000 0.0000 4.7826
Ba Pm S
2 1 4
direct
0.1943 0.8057 0.0000
0.8057 0.1943 0.0000
0.5000 0.5000 0.5000
0.0000 0.5000 0.5000
0.2949 0.2949 0.0000
0.5000 0.0000 0.5000
0.7051 0.7051 0.0000
```

Peak list (10 most intense, 10° ≤ 2θ ≤ 80°, in order of rising 2θ)
Position (°2θ), intensity
22.67, 24.5
23.28, 55.8
24.82, 21.8
27.16, 62.6
33.87, 100.0
37.61, 24.7
40.18, 22.9
47.01, 27.5
47.47, 26.2
58.58, 19.7



# 10
For Ba4PmS5, a PBE-relaxed structure gives the simulated PXRD pattern in this record (λ = 1.5418 Å (Cu Kα)).
No peak broadening, texture or thermal motion is included.

```
Ba4PmS5
1.0
-4.9596 4.9596 3.1547
4.9596 -4.9596 3.1547
4.9596 4.9596 -3.1547
Ba Pm S
4 1 5
direct
0.0966 0.3001 0.3967
0.3001 0.9034 0.2035
0.6999 0.0966 0.7965
0.9034 0.6999 0.6033
0.5163 0.5163 0.0000
0.2236 0.5931 0.8160
0.4076 0.2236 0.6305
0.5931 0.7771 0.3695
0.7771 0.4076 0.1840
0.9815 0.9815 0.0000
```

Peak list (10 most intense, 10° ≤ 2θ ≤ 80°, in order of rising 2θ)
Position (°2θ), intensity
24.53, 100.0
28.29, 49.0
28.45, 95.5
40.56, 70.7
40.68, 34.7
47.87, 17.5
48.08, 36.1
50.29, 36.6
66.63, 30.3
73.95, 22.2



# 11
For Ba2PmSe3, a PBE-relaxed structure gives the simulated PXRD pattern in this record (λ = 1.5418 Å (Cu Kα)).
No peak broadening, texture or thermal motion is included.

```
Ba2PmSe3
1.0
0.0000 6.3962 13.4850
4.5393 0.0000 13.4850
4.5393 6.3962 0.0000
Ba Pm Se
8 4 12
direct
0.0439 0.0439 0.2061
0.1225 0.1225 0.6275
0.2061 0.2061 0.0439
0.3725 0.3725 0.8775
0.6275 0.6275 0.1225
0.7939 0.7939 0.9561
0.8775 0.8775 0.3725
0.9561 0.9561 0.7939
0.2914 0.2914 0.4586
0.4586 0.4586 0.2914
0.5414 0.5414 0.7086
0.7086 0.7086 0.5414
0.0366 0.5376 0.2378
0.1520 0.5980 0.5980
0.2378 0.6880 0.0366
0.3120 0.7622 0.4624
0.4020 0.8480 0.8480
0.4624 0.9634 0.3120
0.5376 0.0366 0.6880
0.5980 0.1520 0.1520
0.6880 0.2378 0.5376
0.7622 0.3120 0.9634
0.8480 0.4020 0.4020
0.9634 0.4624 0.7622
```

Peak list (10 most intense, 10° ≤ 2θ ≤ 80°, in order of rising 2θ)
Position (°2θ), intensity
27.92, 100.0
39.71, 12.2
39.89, 49.4
40.12, 12.4
49.23, 12.7
49.58, 13.6
57.70, 11.7
65.25, 10.9
65.31, 10.6
72.22, 11.1



# 12
For Ba3Pm4Se8, a PBE-relaxed structure gives the simulated PXRD pattern in this record (λ = 1.5418 Å (Cu Kα)).
No peak broadening, texture or thermal motion is included.

```
Ba3Pm4Se8
1.0
6.2344 -6.2496 0.0000
6.2344 6.2496 0.0000
-6.0204 0.0000 6.2687
Ba Pm Se
3 4 8
direct
0.0000 0.0000 0.0000
0.0000 0.5000 0.0000
0.5000 0.0000 0.0000
0.0000 0.5000 0.5000
0.5000 0.0000 0.5000
0.5000 0.5000 0.0000
0.5000 0.5000 0.5000
0.2604 0.7396 0.0000
0.2607 0.7393 0.5000
0.2669 0.2669 0.5197
0.2790 0.2790 0.0312
0.7210 0.7210 0.9688
0.7331 0.7331 0.4803
0.7393 0.2607 0.5000
0.7396 0.2604 0.0000
```

Peak list (10 most intense, 10° ≤ 2θ ≤ 80°, in order of rising 2θ)
Position (°2θ), intensity
12.12, 15.0
28.52, 100.0
28.65, 49.6
40.11, 18.8
40.78, 37.1
40.90, 37.0
41.56, 18.2
49.98, 19.5
51.21, 19.4
66.96, 16.4